Record 1
The following is a calculated X-ray diffraction stick pattern of Pm4ErTm2Th. It was derived from a cell relaxed with PBE, using Cu Kα (λ = 1.5418 Å).

Cell: 5.059 5.059 10.169 Å, 90.00 90.00 90.00°
Space group P4/mmm (No. 123)
Inequivalent atoms, fractional coordinates:
Pm 0.000 0.500 0.249 (multiplicity 4)
Er 0.000 0.000 0.500 (multiplicity 1)
Tm 0.000 0.000 0.000 (multiplicity 1)
Tm 0.500 0.500 0.500 (multiplicity 1)
Th 0.500 0.500 0.000 (multiplicity 1)

Principal peaks in the range 2θ = 5–70°, in order of rising 2θ:
- (0 0 2), 2θ = 17.5°, rel. 1
- (1 1 0), 2θ = 24.9°, rel. 1
- (1 1 2), 2θ = 30.6°, rel. 100
- (0 0 4), 2θ = 35.3°, rel. 17
- (2 0 0), 2θ = 35.5°, rel. 34
- (2 0 4), 2θ = 50.9°, rel. 24
- (2 2 0), 2θ = 51.1°, rel. 12
- (1 1 6), 2θ = 60.4°, rel. 15
- (3 1 2), 2θ = 60.7°, rel. 29
- (2 2 4), 2θ = 63.6°, rel. 12


Record 2
The following is a calculated X-ray diffraction stick pattern of Pm5Er2TmTh. It was derived from a cell relaxed with PBE, using Cu Kα (λ = 1.5418 Å).

Cell: 5.380 21.509 10.555 Å, 90.00 90.00 90.00°
Space group Cmcm (No. 63)
Inequivalent atoms, fractional coordinates:
Pm 0.000 0.000 0.000 (multiplicity 4)
Pm 0.000 0.125 0.250 (multiplicity 4)
Pm 0.000 0.221 0.556 (multiplicity 8)
Pm 0.000 0.499 0.750 (multiplicity 4)
Er 0.000 0.387 0.001 (multiplicity 8)
Tm 0.000 0.102 0.750 (multiplicity 4)
Th 0.000 0.288 0.250 (multiplicity 4)

Principal peaks in the range 2θ = 5–70°, in order of rising 2θ:
- (1 3 2), 2θ = 26.7°, rel. 14
- (1 1 3), 2θ = 30.6°, rel. 15
- (1 5 2), 2θ = 31.6°, rel. 100
- (1 3 3), 2θ = 32.9°, rel. 12
- (2 0 0), 2θ = 33.3°, rel. 37
- (0 0 4), 2θ = 34.0°, rel. 19
- (2 0 4), 2θ = 48.3°, rel. 19
- (3 5 2), 2θ = 58.4°, rel. 18
- (1 5 6), 2θ = 59.3°, rel. 12
- (1 13 2), 2θ = 61.2°, rel. 9


Record 3
The following is a calculated X-ray diffraction stick pattern of Pm6Er3Tm2Th. It was derived from a cell relaxed with PBE, using Cu Kα (λ = 1.5418 Å).

Cell: 6.210 10.753 11.853 Å, 90.00 100.10 90.00°
Space group C2/m (No. 12)
Inequivalent atoms, fractional coordinates:
Pm 0.247 0.000 0.251 (multiplicity 4)
Pm 0.248 0.165 0.750 (multiplicity 8)
Er 0.000 0.167 0.000 (multiplicity 4)
Er 0.000 0.500 0.000 (multiplicity 2)
Tm 0.000 0.333 0.500 (multiplicity 4)
Th 0.000 0.000 0.500 (multiplicity 2)

Principal peaks in the range 2θ = 5–70°, in order of rising 2θ:
- (0 0 2), 2θ = 15.2°, rel. 1
- (1 3 1), 2θ = 30.6°, rel. 100
- (0 0 4), 2θ = 30.6°, rel. 33
- (2 0 2), 2θ = 35.5°, rel. 67
- (0 6 0), 2θ = 50.9°, rel. 24
- (1 3 5), 2θ = 51.1°, rel. 24
- (4 0 0), 2θ = 60.6°, rel. 43
- (2 0 6), 2θ = 60.7°, rel. 14
- (2 6 2), 2θ = 63.6°, rel. 12
- (0 0 8), 2θ = 63.8°, rel. 4


Record 4
The following is a calculated X-ray diffraction stick pattern of PmEr3TmTh. It was derived from a cell relaxed with PBE, using Cu Kα (λ = 1.5418 Å).

Cell: 7.911 5.031 10.035 Å, 90.00 108.83 90.00°
Space group P2_1/m (No. 11)
Inequivalent atoms, fractional coordinates:
Pm 0.168 0.250 0.292 (multiplicity 2)
Er 0.169 0.750 0.543 (multiplicity 2)
Er 0.173 0.750 0.043 (multiplicity 2)
Er 0.175 0.250 0.792 (multiplicity 2)
Tm 0.499 0.250 0.627 (multiplicity 2)
Th 0.498 0.750 0.878 (multiplicity 2)

Principal peaks in the range 2θ = 5–70°, in order of rising 2θ:
- (2 1 -2), 2θ = 30.8°, rel. 100
- (1 1 2), 2θ = 31.0°, rel. 99
- (0 2 0), 2θ = 35.7°, rel. 34
- (1 0 -4), 2θ = 35.8°, rel. 34
- (3 0 0), 2θ = 36.0°, rel. 33
- (1 2 -4), 2θ = 51.5°, rel. 36
- (3 2 0), 2θ = 51.6°, rel. 24
- (2 3 -2), 2θ = 61.1°, rel. 15
- (1 3 2), 2θ = 61.2°, rel. 29
- (0 1 6), 2θ = 61.4°, rel. 28


Record 5
The following is a calculated X-ray diffraction stick pattern of PmYEr2Th. It was derived from a cell relaxed with PBE, using Cu Kα (λ = 1.5418 Å).

Cell: 8.320 6.277 6.714 Å, 90.00 99.16 90.00°
Space group P2/c (No. 13)
Inequivalent atoms, fractional coordinates:
Pm 0.000 0.000 0.000 (multiplicity 2)
Y 0.500 0.128 0.250 (multiplicity 2)
Er 0.327 0.377 0.614 (multiplicity 4)
Th 0.000 0.458 0.250 (multiplicity 2)

Principal peaks in the range 2θ = 5–70°, in order of rising 2θ:
- (0 1 0), 2θ = 14.1°, rel. 45
- (1 1 -1), 2θ = 21.2°, rel. 30
- (1 2 0), 2θ = 30.5°, rel. 48
- (2 1 1), 2θ = 30.9°, rel. 45
- (2 0 -2), 2θ = 31.9°, rel. 25
- (3 0 0), 2θ = 32.7°, rel. 100
- (1 1 2), 2θ = 33.9°, rel. 84
- (2 1 -2), 2θ = 35.0°, rel. 48
- (3 1 0), 2θ = 35.8°, rel. 23
- (2 3 1), 2θ = 51.9°, rel. 23


Record 6
The following is a calculated X-ray diffraction stick pattern of Pm6YEr3Th2. It was derived from a cell relaxed with PBE, using Cu Kα (λ = 1.5418 Å).

Cell: 6.231 10.781 11.937 Å, 90.00 100.03 90.00°
Space group C2/m (No. 12)
Inequivalent atoms, fractional coordinates:
Pm 0.246 0.000 0.250 (multiplicity 4)
Pm 0.248 0.168 0.751 (multiplicity 8)
Y 0.000 0.500 0.000 (multiplicity 2)
Er 0.000 0.000 0.500 (multiplicity 2)
Er 0.000 0.333 0.500 (multiplicity 4)
Th 0.000 0.166 0.000 (multiplicity 4)

Principal peaks in the range 2θ = 5–70°, in order of rising 2θ:
- (0 0 2), 2θ = 15.1°, rel. 1
- (1 1 0), 2θ = 16.6°, rel. 1
- (1 1 -1), 2θ = 17.2°, rel. 1
- (0 2 1), 2θ = 18.1°, rel. 1
- (1 3 1), 2θ = 30.4°, rel. 100
- (2 0 2), 2θ = 35.3°, rel. 51
- (1 3 5), 2θ = 50.8°, rel. 36
- (2 0 6), 2θ = 60.3°, rel. 11
- (4 0 0), 2θ = 60.4°, rel. 32
- (2 6 2), 2θ = 63.3°, rel. 12